Record 1
Starting from DFT lattice parameters and positions (PBE+U), the powder XRD pattern of LiFeSiO4 was simulated for CuKα.
Kinematic intensities with the Lorentz-polarization factor, no thermal factor.

Principal peaks in the range 10 to 90 degrees two-theta, most intense first:
- 2θ 21.9, intensity 100.0, hkl 0 1 2
- 2θ 21.7, intensity 97.5, hkl 2 0 2
- 2θ 34.3, intensity 28.2, hkl 0 2 0
- 2θ 33.9, intensity 26.6, hkl 4 0 0
- 2θ 33.6, intensity 23.7, hkl 1 1 4
- 2θ 26.6, intensity 22.2, hkl 2 0 3
- 2θ 31.8, intensity 18.0, hkl 2 1 3
- 2θ 61.1, intensity 17.9, hkl 1 3 4
- 2θ 28.1, intensity 16.9, hkl 1 1 3
- 2θ 56.8, intensity 11.2, hkl 0 0 8

Crystal structure
```
data_LiFeSiO4
_space_group_name_H-M_alt 'P c a 21'
_space_group_IT_number 29
_cell_length_a 10.5741
_cell_length_b 5.2229
_cell_length_c 12.9630
_cell_angle_alpha 90.00
_cell_angle_beta 90.00
_cell_angle_gamma 90.00
loop_
_space_group_symop_operation_xyz
'x,y,z'
'-x,-y,z+1/2'
'-x+1/2,y,z+1/2'
'x+1/2,-y,z'
loop_
_atom_site_label
_atom_site_type_symbol
_atom_site_fract_x
_atom_site_fract_y
_atom_site_fract_z
Li1 Li 0.0496 0.0770 0.0000
Li2 Li 0.2093 0.5707 0.2447
Fe1 Fe 0.0425 0.4159 0.6182
Fe2 Fe 0.2124 0.0574 0.3716
Si1 Si 0.0353 0.9035 0.7485
Si2 Si 0.2064 0.5607 0.9937
O1 O 0.0012 0.0680 0.6427
O2 O 0.0165 0.3913 0.2317
O3 O 0.0380 0.9802 0.3515
O4 O 0.0598 0.4623 0.0089
O5 O 0.1904 0.9122 0.7637
O6 O 0.2122 0.8749 0.9812
O7 O 0.2159 0.4842 0.5998
O8 O 0.2365 0.4158 0.3904
```

=====

Record 2
Starting from DFT lattice parameters and positions (PBE+U), the powder XRD pattern of Li2FeSiO4 was simulated for CuKα.
Kinematic intensities with the Lorentz-polarization factor, no thermal factor.

Principal peaks in the range 10 to 90 degrees two-theta, most intense first:
- 2θ 24.0, intensity 100.0, hkl 1 1 1
- 2θ 32.8, intensity 63.2, hkl 2 2 0
- 2θ 35.5, intensity 56.8, hkl 0 0 2
- 2θ 37.4, intensity 46.1, hkl 2 2 1
- 2θ 28.1, intensity 42.0, hkl 3 1 0
- 2θ 22.5, intensity 40.1, hkl 0 1 1
- 2θ 16.2, intensity 37.2, hkl 1 1 0
- 2θ 58.2, intensity 34.4, hkl 6 2 0
- 2θ 32.5, intensity 31.1, hkl 4 0 0
- 2θ 65.0, intensity 28.8, hkl 2 2 3

Crystal structure
```
data_Li2FeSiO4
_space_group_name_H-M_alt 'P n a 21'
_space_group_IT_number 33
_cell_length_a 11.0106
_cell_length_b 6.2958
_cell_length_c 5.0577
_cell_angle_alpha 90.00
_cell_angle_beta 90.00
_cell_angle_gamma 90.00
loop_
_space_group_symop_operation_xyz
'x,y,z'
'-x,-y,z+1/2'
'-x+1/2,y+1/2,z+1/2'
'x+1/2,-y+1/2,z'
loop_
_atom_site_label
_atom_site_type_symbol
_atom_site_fract_x
_atom_site_fract_y
_atom_site_fract_z
Li1 Li 0.0767 0.2491 0.0000
Li2 Li 0.1589 0.0033 0.4990
Fe1 Fe 0.1670 0.4898 0.4978
Si1 Si 0.0876 0.7513 0.9931
O1 O 0.0539 0.2534 0.6030
O2 O 0.0877 0.7509 0.6667
O3 O 0.1558 0.9705 0.0989
O4 O 0.1622 0.5361 0.0929
```

=====

Record 3
Starting from DFT lattice parameters and positions (PBE+U), the powder XRD pattern of Li2Fe2Si4O11 was simulated for CuKα.
Kinematic intensities with the Lorentz-polarization factor, no thermal factor.

Principal peaks in the range 10 to 90 degrees two-theta, most intense first:
- 2θ 19.3, intensity 100.0, hkl 0 0 2
- 2θ 29.2, intensity 54.8, hkl 2 -1 1
- 2θ 14.1, intensity 51.6, hkl 0 1 -1
- 2θ 29.3, intensity 45.5, hkl 0 2 1
- 2θ 24.9, intensity 41.0, hkl 1 -2 1
- 2θ 28.5, intensity 38.5, hkl 0 2 -2
- 2θ 25.5, intensity 34.3, hkl 0 2 0
- 2θ 25.8, intensity 33.8, hkl 2 -1 0
- 2θ 31.8, intensity 28.5, hkl 2 -2 1
- 2θ 42.1, intensity 28.5, hkl 0 2 -4

Crystal structure
```
data_Li2Fe2Si4O11
_space_group_name_H-M_alt 'P -1'
_space_group_IT_number 2
_cell_length_a 7.0766
_cell_length_b 7.6561
_cell_length_c 9.6213
_cell_angle_alpha 97.39
_cell_angle_beta 101.83
_cell_angle_gamma 110.94
loop_
_space_group_symop_operation_xyz
'x,y,z'
'-x,-y,-z'
loop_
_atom_site_label
_atom_site_type_symbol
_atom_site_fract_x
_atom_site_fract_y
_atom_site_fract_z
Li1 Li 0.0891 0.4118 0.0637
Li2 Li 0.3743 0.6174 0.9463
Fe1 Fe 0.1121 0.6558 0.7102
Fe2 Fe 0.3311 0.2261 0.2550
Si1 Si 0.0473 0.7762 0.2603
Si2 Si 0.2202 0.0258 0.8997
Si3 Si 0.2472 0.3680 0.5512
Si4 Si 0.4725 0.7762 0.2668
O1 O 0.0040 0.0558 0.8132
O2 O 0.0255 0.2435 0.5884
O3 O 0.0638 0.4327 0.8495
O4 O 0.1416 0.8033 0.9095
O5 O 0.1839 0.3524 0.3752
O6 O 0.3049 0.8672 0.3070
O7 O 0.3393 0.5888 0.6497
O8 O 0.3500 0.1822 0.0517
O9 O 0.3557 0.0433 0.7769
O10 O 0.3771 0.5857 0.1404
O11 O 0.4095 0.2606 0.5793
```

=====

Record 4
Starting from DFT lattice parameters and positions (PBE+U), the powder XRD pattern of Li7Fe7SiO16 was simulated for CuKα.
Kinematic intensities with the Lorentz-polarization factor, no thermal factor.

Principal peaks in the range 10 to 90 degrees two-theta, most intense first:
- 2θ 22.1, intensity 100.0, hkl 1 0 -2
- 2θ 21.0, intensity 85.2, hkl 0 1 2
- 2θ 35.1, intensity 60.0, hkl 2 0 0
- 2θ 31.7, intensity 49.8, hkl 0 1 -4
- 2θ 36.4, intensity 46.4, hkl 1 1 4
- 2θ 57.1, intensity 29.8, hkl 0 3 -4
- 2θ 32.2, intensity 28.4, hkl 0 2 0
- 2θ 36.8, intensity 20.2, hkl 1 -2 0
- 2θ 63.9, intensity 19.4, hkl 3 1 -4
- 2θ 41.3, intensity 18.9, hkl -2 1 2

Crystal structure
```
data_Li7Fe7SiO16
_space_group_name_H-M_alt 'P 1'
_space_group_IT_number 1
_cell_length_a 5.1125
_cell_length_b 5.5575
_cell_length_c 13.0836
_cell_angle_alpha 89.92
_cell_angle_beta 89.93
_cell_angle_gamma 89.88
loop_
_space_group_symop_operation_xyz
'x,y,z'
loop_
_atom_site_label
_atom_site_type_symbol
_atom_site_fract_x
_atom_site_fract_y
_atom_site_fract_z
Li1 Li 0.0000 0.0000 0.0000
Li2 Li 0.0009 0.4964 0.1269
Li3 Li 0.5012 0.3329 0.2516
Li4 Li 0.5022 0.8338 0.3789
Li5 Li 0.5072 0.8389 0.8759
Li6 Li 0.9939 0.4802 0.6317
Li7 Li 0.9982 0.9988 0.5036
Fe1 Fe 0.9996 0.9979 0.2529
Fe2 Fe 0.4965 0.3353 0.5019
Fe3 Fe 0.5001 0.3344 0.0030
Fe4 Fe 0.5006 0.8311 0.1263
Fe5 Fe 0.5038 0.8358 0.6302
Fe6 Fe 0.9943 0.4921 0.8712
Fe7 Fe 0.9963 0.4984 0.3768
Si1 Si 0.9955 0.9883 0.7534
O1 O 0.0678 0.2767 0.7592
O2 O 0.1058 0.8279 0.3741
O3 O 0.1061 0.8340 0.8548
O4 O 0.1074 0.3266 0.2572
O5 O 0.1195 0.3443 0.4989
O6 O 0.1228 0.3480 0.9937
O7 O 0.1232 0.8445 0.1304
O8 O 0.1238 0.8627 0.6486
O9 O 0.6037 0.0052 0.5095
O10 O 0.6060 0.5018 0.1244
O11 O 0.6072 0.0041 0.0062
O12 O 0.6158 0.5194 0.6126
O13 O 0.6213 0.4868 0.3794
O14 O 0.6236 0.9867 0.2476
O15 O 0.6312 0.5089 0.8910
O16 O 0.6761 0.9521 0.7490
```